[1]
Os: simulated X-ray diffraction stick pattern (Cu Kα (λ = 1.5418 Å)), based on a DFT-relaxed cell (PBE, the Materials Project).

Main lines, sorted by position (2θ from 10° to 90°):
index	two_theta	I_rel
1 1 1	40.44	100
2 0 0	47.04	49
2 2 0	68.72	32
3 1 1	82.88	39
2 2 2	87.46	12

Atomic structure:
```
data_Os
_symmetry_space_group_name_H-M 'F m -3 m'
_symmetry_Int_Tables_number 225
_symmetry_space_group_name_Hall '-F 4 2 3'
_cell_length_a 3.863
_cell_length_b 3.863
_cell_length_c 3.863
_cell_angle_alpha 90.00
_cell_angle_beta 90.00
_cell_angle_gamma 90.00
loop_
_atom_site_label
_atom_site_type_symbol
_atom_site_fract_x
_atom_site_fract_y
_atom_site_fract_z
Os1 Os 0.000 0.000 0.000
```

***

[2]
Os: simulated X-ray diffraction stick pattern (Cu Kα (λ = 1.5418 Å)), based on a DFT-relaxed cell (PBE, the Materials Project).

Main lines, sorted by position (2θ from 10° to 90°):
index	two_theta	I_rel
0 0 2	36.32	28
1 1 -2	40.83	89
2 1 0	41.23	100
0 2 1	42.83	80
1 0 2	45.26	35
2 1 -2	48.33	27
2 1 1	49.47	20
2 3 -1	71.28	24
4 0 0	76.90	25
1 0 4	86.16	21

Atomic structure:
```
data_Os
_symmetry_space_group_name_H-M 'P 1 21/c 1'
_symmetry_Int_Tables_number 14
_cell_length_a 5.159
_cell_length_b 4.670
_cell_length_c 5.147
_cell_angle_alpha 90.00
_cell_angle_beta 106.02
_cell_angle_gamma 90.00
loop_
_symmetry_equiv_pos_as_xyz
'x,y,z'
'-x,-y,-z'
'-x,y+1/2,-z+1/2'
'x,-y+1/2,z+1/2'
loop_
_atom_site_label
_atom_site_type_symbol
_atom_site_fract_x
_atom_site_fract_y
_atom_site_fract_z
Os1 Os 0.108 0.160 0.208
Os2 Os 0.361 0.656 0.140
```

***

[3]
Os: simulated X-ray diffraction stick pattern (Cu Kα (λ = 1.5418 Å)), based on a DFT-relaxed cell (PBE, the Materials Project).

Main lines, sorted by position (2θ from 10° to 90°):
index	two_theta	I_rel
1 1 0	41.21	100
2 0 0	59.69	17
2 1 1	75.11	35
2 2 0	89.47	12

Atomic structure:
```
data_Os
_symmetry_space_group_name_H-M 'I m -3 m'
_symmetry_Int_Tables_number 229
_symmetry_space_group_name_Hall '-I 4 2 3'
_cell_length_a 3.098
_cell_length_b 3.098
_cell_length_c 3.098
_cell_angle_alpha 90.00
_cell_angle_beta 90.00
_cell_angle_gamma 90.00
loop_
_atom_site_label
_atom_site_type_symbol
_atom_site_fract_x
_atom_site_fract_y
_atom_site_fract_z
Os1 Os 0.000 0.000 0.000
```

***

[4]
P4Os: simulated X-ray diffraction stick pattern (Cu Kα (λ = 1.5418 Å)), based on a DFT-relaxed cell (PBE, the Materials Project).

Main lines, sorted by position (2θ from 10° to 90°):
index	two_theta	I_rel
1 0 0	19.04	100
0 1 1	21.60	90
0 1 -2	23.77	62
0 2 -1	25.25	49
-1 1 1	26.37	55
1 -2 1	29.01	42
1 1 -2	31.07	90
1 1 1	31.33	87
1 2 2	51.52	33
1 -4 1	52.15	37

Atomic structure:
```
data_P4Os
_symmetry_space_group_name_H-M 'P -1'
_symmetry_Int_Tables_number 2
_cell_length_a 4.754
_cell_length_b 7.211
_cell_length_c 7.603
_cell_angle_alpha 111.33
_cell_angle_beta 90.34
_cell_angle_gamma 100.43
loop_
_symmetry_equiv_pos_as_xyz
'x,y,z'
'-x,-y,-z'
loop_
_atom_site_label
_atom_site_type_symbol
_atom_site_fract_x
_atom_site_fract_y
_atom_site_fract_z
P1 P 0.099 0.367 0.400
P2 P 0.108 0.831 0.269
P3 P 0.159 0.086 0.939
P4 P 0.228 0.573 0.049
P5 P 0.295 0.296 0.624
P6 P 0.322 0.837 0.714
Os1 Os 0.441 0.372 0.172
Os2 Os 0.500 0.000 0.500
```

***

[5]
P4Os: simulated X-ray diffraction stick pattern (Cu Kα (λ = 1.5418 Å)), based on a DFT-relaxed cell (PBE, the Materials Project).

Main lines, sorted by position (2θ from 10° to 90°):
index	two_theta	I_rel
1 0 0	19.06	64
0 1 1	22.70	87
0 0 2	25.26	32
1 1 -1	28.38	63
1 0 -2	29.09	38
1 1 1	31.17	100
1 2 0	43.02	51
2 1 -1	43.32	30
0 2 2	46.36	28
1 0 -4	52.32	31

Atomic structure:
```
data_P4Os
_symmetry_space_group_name_H-M 'P 1 21/c 1'
_symmetry_Int_Tables_number 14
_cell_length_a 4.724
_cell_length_b 4.711
_cell_length_c 7.154
_cell_angle_alpha 90.00
_cell_angle_beta 99.64
_cell_angle_gamma 90.00
loop_
_symmetry_equiv_pos_as_xyz
'x,y,z'
'-x,-y,-z'
'-x,y+1/2,-z+1/2'
'x,-y+1/2,z+1/2'
loop_
_atom_site_label
_atom_site_type_symbol
_atom_site_fract_x
_atom_site_fract_y
_atom_site_fract_z
P1 P 0.123 0.152 0.411
P2 P 0.284 0.690 0.751
Os1 Os 0.500 0.000 0.000
```

***

[6]
P2Os: simulated X-ray diffraction stick pattern (Cu Kα (λ = 1.5418 Å)), based on a DFT-relaxed cell (PBE, the Materials Project).

Main lines, sorted by position (2θ from 10° to 90°):
index	two_theta	I_rel
1 1 0	22.92	100
0 2 0	30.11	33
0 1 1	33.95	29
2 0 0	34.99	20
1 0 1	35.11	62
2 2 0	46.89	60
1 3 0	49.38	22
2 1 1	49.56	41
0 3 1	55.98	36
2 4 0	73.82	14

Atomic structure:
```
data_P2Os
_symmetry_space_group_name_H-M 'P n n m'
_symmetry_Int_Tables_number 58
_cell_length_a 5.127
_cell_length_b 5.935
_cell_length_c 2.948
_cell_angle_alpha 90.00
_cell_angle_beta 90.00
_cell_angle_gamma 90.00
loop_
_symmetry_equiv_pos_as_xyz
'x,y,z'
'-x,-y,-z'
'-x,-y,z'
'x,y,-z'
'x+1/2,-y+1/2,-z+1/2'
'-x+1/2,y+1/2,z+1/2'
'-x+1/2,y+1/2,-z+1/2'
'x+1/2,-y+1/2,z+1/2'
loop_
_atom_site_label
_atom_site_type_symbol
_atom_site_fract_x
_atom_site_fract_y
_atom_site_fract_z
P1 P 0.162 0.128 0.000
Os1 Os 0.000 0.500 0.000
```

***

[7]
PrP12Os4: simulated X-ray diffraction stick pattern (Cu Kα (λ = 1.5418 Å)), based on a DFT-relaxed cell (PBE, the Materials Project).

Main lines, sorted by position (2θ from 10° to 90°):
index	two_theta	I_rel
2 0 0	21.85	48
2 2 0	31.10	100
3 0 1	34.88	17
2 2 2	38.33	19
3 1 2	41.54	12
4 0 0	44.55	17
4 0 2	50.15	39
4 2 2	55.32	50
4 4 0	64.83	11
6 2 0	73.65	21

Atomic structure:
```
data_PrP12Os4
_symmetry_space_group_name_H-M 'I m -3'
_symmetry_Int_Tables_number 204
_symmetry_space_group_name_Hall '-I 2 2 3'
_cell_length_a 8.135
_cell_length_b 8.135
_cell_length_c 8.135
_cell_angle_alpha 90.00
_cell_angle_beta 90.00
_cell_angle_gamma 90.00
loop_
_atom_site_label
_atom_site_type_symbol
_atom_site_fract_x
_atom_site_fract_y
_atom_site_fract_z
Pr1 Pr 0.000 0.000 0.000
P1 P 0.000 0.357 0.143
Os1 Os 0.250 0.250 0.250
```

***

[8]
Si4P4Os: simulated X-ray diffraction stick pattern (Cu Kα (λ = 1.5418 Å)), based on a DFT-relaxed cell (PBE, the Materials Project).

Main lines, sorted by position (2θ from 10° to 90°):
index	two_theta	I_rel
0 0 1	15.35	54
0 1 0	16.60	54
1 0 0	20.27	28
1 1 0	21.68	27
1 1 1	22.50	35
0 1 1	23.28	25
1 0 2	30.25	100
1 1 -1	30.32	50
0 1 -3	49.52	33
2 -1 2	49.62	38

Atomic structure:
```
data_Si4P4Os
_symmetry_space_group_name_H-M 'P 1'
_symmetry_Int_Tables_number 1
_cell_length_a 4.982
_cell_length_b 5.659
_cell_length_c 6.218
_cell_angle_alpha 85.72
_cell_angle_beta 68.33
_cell_angle_gamma 70.89
loop_
_symmetry_equiv_pos_as_xyz
'x,y,z'
loop_
_atom_site_label
_atom_site_type_symbol
_atom_site_fract_x
_atom_site_fract_y
_atom_site_fract_z
Si1 Si 0.000 0.000 0.000
Si2 Si 0.124 0.250 0.448
Si3 Si 0.433 0.432 0.795
Si4 Si 0.606 0.630 0.255
P1 P 0.103 0.882 0.326
P2 P 0.384 0.066 0.690
P3 P 0.530 0.297 0.130
P4 P 0.923 0.670 0.886
Os1 Os 0.763 0.656 0.567
```

***

[9]
SrP2Os2: simulated X-ray diffraction stick pattern (Cu Kα (λ = 1.5418 Å)), based on a DFT-relaxed cell (PBE, the Materials Project).

Main lines, sorted by position (2θ from 10° to 90°):
index	two_theta	I_rel
0 0 2	15.62	81
1 1 0	30.97	17
0 0 4	31.55	28
1 1 2	34.87	100
2 0 0	44.37	35
1 1 4	44.79	29
2 0 2	47.32	20
2 0 4	55.45	23
1 1 6	58.34	30
3 1 2	75.51	22

Atomic structure:
```
data_SrP2Os2
_symmetry_space_group_name_H-M 'I 4/m m m'
_symmetry_Int_Tables_number 139
_symmetry_space_group_name_Hall '-I 4 2'
_cell_length_a 4.083
_cell_length_b 4.083
_cell_length_c 11.343
_cell_angle_alpha 90.00
_cell_angle_beta 90.00
_cell_angle_gamma 90.00
loop_
_atom_site_label
_atom_site_type_symbol
_atom_site_fract_x
_atom_site_fract_y
_atom_site_fract_z
Sr1 Sr 0.000 0.000 0.000
P1 P 0.000 0.000 0.352
Os1 Os 0.000 0.500 0.250
```

***

[10]
TePOs: simulated X-ray diffraction stick pattern (Cu Kα (λ = 1.5418 Å)), based on a DFT-relaxed cell (PBE, the Materials Project).

Main lines, sorted by position (2θ from 10° to 90°):
index	two_theta	I_rel
1 1 -1	22.17	100
0 2 0	28.74	53
0 0 2	30.44	96
2 0 0	31.13	89
0 2 1	32.61	49
2 2 0	42.88	38
2 2 -2	45.19	54
3 1 -1	46.15	51
1 3 -1	47.20	84
1 3 1	51.31	55

Atomic structure:
```
data_TePOs
_symmetry_space_group_name_H-M 'P 1 21/c 1'
_symmetry_Int_Tables_number 14
_cell_length_a 6.234
_cell_length_b 6.213
_cell_length_c 6.373
_cell_angle_alpha 90.00
_cell_angle_beta 112.83
_cell_angle_gamma 90.00
loop_
_symmetry_equiv_pos_as_xyz
'x,y,z'
'-x,-y,-z'
'-x,y+1/2,-z+1/2'
'x,-y+1/2,z+1/2'
loop_
_atom_site_label
_atom_site_type_symbol
_atom_site_fract_x
_atom_site_fract_y
_atom_site_fract_z
Te1 Te 0.166 0.126 0.305
P1 P 0.362 0.634 0.607
Os1 Os 0.250 0.519 0.213
```

***

[11]
ZrPOs: simulated X-ray diffraction stick pattern (Cu Kα (λ = 1.5418 Å)), based on a DFT-relaxed cell (PBE, the Materials Project).

Main lines, sorted by position (2θ from 10° to 90°):
index	two_theta	I_rel
1 0 0	15.85	20
1 1 0	27.63	26
1 0 1	27.97	27
1 1 1	36.18	100
2 0 1	39.72	49
2 1 0	42.78	67
0 0 2	46.78	24
2 1 1	49.06	33
2 1 2	65.24	38
3 2 1	78.51	21

Atomic structure:
```
data_ZrPOs
_symmetry_space_group_name_H-M 'P -6 2 m'
_symmetry_Int_Tables_number 189
_symmetry_space_group_name_Hall 'P -6 -2'
_cell_length_a 6.4580
_cell_length_b 6.4580
_cell_length_c 3.8841
_cell_angle_alpha 90.00
_cell_angle_beta 90.00
_cell_angle_gamma 120.00
loop_
_atom_site_label
_atom_site_type_symbol
_atom_site_fract_x
_atom_site_fract_y
_atom_site_fract_z
Zr1 Zr 0.0000 0.5841 0.0000
P1 P 0.0000 0.0000 0.0000
P2 P 0.3333 0.6667 0.5000
Os1 Os 0.0000 0.2463 0.5000
```

***

[12]
ZrPOs: simulated X-ray diffraction stick pattern (Cu Kα (λ = 1.5418 Å)), based on a DFT-relaxed cell (PBE, the Materials Project).

Main lines, sorted by position (2θ from 10° to 90°):
index	two_theta	I_rel
1 0 1	18.23	47
1 1 1	29.19	100
2 1 0	35.88	81
1 1 2	36.19	100
2 1 1	37.97	59
0 1 3	43.49	60
3 0 1	43.62	60
0 2 0	46.14	53
3 2 1	65.37	36
3 1 4	71.48	42

Atomic structure:
```
data_ZrPOs
_symmetry_space_group_name_H-M 'P n m a'
_symmetry_Int_Tables_number 62
_cell_length_a 6.489
_cell_length_b 3.935
_cell_length_c 7.355
_cell_angle_alpha 90.00
_cell_angle_beta 90.00
_cell_angle_gamma 90.00
loop_
_symmetry_equiv_pos_as_xyz
'x,y,z'
'-x,-y,-z'
'-x+1/2,-y,z+1/2'
'x+1/2,y,-z+1/2'
'x+1/2,-y+1/2,-z+1/2'
'-x+1/2,y+1/2,z+1/2'
'-x,y+1/2,-z'
'x,-y+1/2,z'
loop_
_atom_site_label
_atom_site_type_symbol
_atom_site_fract_x
_atom_site_fract_y
_atom_site_fract_z
Zr1 Zr 0.022 0.250 0.179
P1 P 0.223 0.750 0.377
Os1 Os 0.153 0.250 0.560
```

***

[13]
Sc2OsPd: simulated X-ray diffraction stick pattern (Cu Kα (λ = 1.5418 Å)), based on a DFT-relaxed cell (PBE, the Materials Project).

Main lines, sorted by position (2θ from 10° to 90°):
index	two_theta	I_rel
1 1 1	23.63	10
2 0 0	27.36	36
2 2 0	39.07	100
3 1 1	46.18	5
2 2 2	48.36	11
4 0 0	56.45	17
3 3 1	62.05	2
4 2 0	63.84	15
4 2 2	70.79	33
4 4 0	83.96	11

Atomic structure:
```
data_Sc2OsPd
_symmetry_space_group_name_H-M 'F m -3 m'
_symmetry_Int_Tables_number 225
_symmetry_space_group_name_Hall '-F 4 2 3'
_cell_length_a 6.520
_cell_length_b 6.520
_cell_length_c 6.520
_cell_angle_alpha 90.00
_cell_angle_beta 90.00
_cell_angle_gamma 90.00
loop_
_atom_site_label
_atom_site_type_symbol
_atom_site_fract_x
_atom_site_fract_y
_atom_site_fract_z
Sc1 Sc 0.250 0.250 0.250
Os1 Os 0.000 0.000 0.000
Pd1 Pd 0.000 0.000 0.500
```

***

[14]
Tm2OsPd: simulated X-ray diffraction stick pattern (Cu Kα (λ = 1.5418 Å)), based on a DFT-relaxed cell (PBE, the Materials Project).

Main lines, sorted by position (2θ from 10° to 90°):
index	two_theta	I_rel
1 1 1	22.60	3
2 0 0	26.16	1
2 2 0	37.33	100
3 1 1	44.08	2
4 0 0	53.82	18
3 3 1	59.10	1
4 2 2	67.33	36
5 1 1	72.02	1
4 4 0	79.59	11
5 3 1	84.04	1

Atomic structure:
```
data_Tm2OsPd
_symmetry_space_group_name_H-M 'F m -3 m'
_symmetry_Int_Tables_number 225
_symmetry_space_group_name_Hall '-F 4 2 3'
_cell_length_a 6.813
_cell_length_b 6.813
_cell_length_c 6.813
_cell_angle_alpha 90.00
_cell_angle_beta 90.00
_cell_angle_gamma 90.00
loop_
_atom_site_label
_atom_site_type_symbol
_atom_site_fract_x
_atom_site_fract_y
_atom_site_fract_z
Tm1 Tm 0.250 0.250 0.250
Os1 Os 0.000 0.000 0.000
Pd1 Pd 0.000 0.000 0.500
```

***

[15]
Pm2ZnOs: simulated X-ray diffraction stick pattern (Cu Kα (λ = 1.5418 Å)), based on a DFT-relaxed cell (PBE, the Materials Project).

Main lines, sorted by position (2θ from 10° to 90°):
index	two_theta	I_rel
1 1 1	21.56	10
2 2 0	35.57	100
3 1 1	41.98	6
4 0 0	51.19	18
3 3 1	56.17	2
4 2 2	63.89	36
5 1 1	68.27	2
4 4 0	75.31	11
5 3 1	79.42	2
6 2 0	86.16	16

Atomic structure:
```
data_Pm2ZnOs
_symmetry_space_group_name_H-M 'F m -3 m'
_symmetry_Int_Tables_number 225
_symmetry_space_group_name_Hall '-F 4 2 3'
_cell_length_a 7.138
_cell_length_b 7.138
_cell_length_c 7.138
_cell_angle_alpha 90.00
_cell_angle_beta 90.00
_cell_angle_gamma 90.00
loop_
_atom_site_label
_atom_site_type_symbol
_atom_site_fract_x
_atom_site_fract_y
_atom_site_fract_z
Pm1 Pm 0.250 0.250 0.250
Zn1 Zn 0.000 0.000 0.000
Os1 Os 0.000 0.000 0.500
```